The following is a theoretical X-ray powder pattern of RbLu2CuTe3S. It was derived from a DFT-relaxed cell (GGA-PBE, OQMD), using λ = 1.5418 Å (Cu Kα).
No peak broadening, texture or thermal motion is included.

```
data_RbLu2CuTe3S
_cell_length_a 4.2355
_cell_length_b 14.8319
_cell_length_c 14.7604
_cell_angle_alpha 90.00
_cell_angle_beta 90.00
_cell_angle_gamma 90.00
_symmetry_space_group_name_H-M 'C m c m'
_symmetry_Int_Tables_number 63
_symmetry_space_group_name_Hall '-C 2c 2'
loop_
_atom_site_label
_atom_site_type_symbol
_atom_site_fract_x
_atom_site_fract_y
_atom_site_fract_z
Rb1 Rb 0.0000 0.0945 0.2500
Lu1 Lu 0.0000 0.3680 0.0786
Cu1 Cu 0.0000 0.1555 0.7500
Te1 Te 0.0000 0.0000 0.0000
Te2 Te 0.0000 0.2682 0.6112
S1 S 0.0000 0.4225 0.2500
```

Largest 10 diffraction maxima, most intense first, 15 to 90 degrees two-theta:
d 2.178, 41.5°, I 100, hkl 1 5 3; d 3.143, 28.4°, I 99, hkl 1 3 1; d 2.949, 30.3°, I 95, hkl 1 3 2; d 3.304, 27.0°, I 72, hkl 0 2 4; d 3.217, 27.7°, I 64, hkl 1 3 0; d 4.100, 21.7°, I 60, hkl 0 2 3; d 2.735, 32.7°, I 56, hkl 1 1 4; d 2.118, 42.7°, I 53, hkl 2 0 0; d 2.692, 33.3°, I 49, hkl 1 3 3; d 2.209, 40.9°, I 34, hkl 0 6 3